No. 1
K2NiSe: theoretical PXRD pattern (Cu Ka), based on a DFT-relaxed cell (PBE, Alexandria).
No peak broadening, texture or thermal motion is included.

Top 12 peaks for 10° ≤ 2θ ≤ 90°, in order of falling intensity:
2θ 32.28, intensity 100
2θ 18.14, intensity 98
2θ 32.12, intensity 84
2θ 31.38, intensity 68
2θ 18.63, intensity 47
2θ 53.90, intensity 42
2θ 41.95, intensity 29
2θ 53.31, intensity 28
2θ 62.48, intensity 25
2θ 52.53, intensity 22
2θ 56.44, intensity 18
2θ 46.05, intensity 18

Atomic structure:
```
8
Lattice="4.3074 0.0000 0.0000 0.0000 5.7006 0.0000 0.0000 0.0000 9.5235" Properties=species:S:1:pos:R:3 pbc="T T T"
K 0.0000 0.0000 0.0000
K 0.0000 2.8503 1.7086
K 2.1537 0.0000 6.4703
K 2.1537 2.8503 4.7617
Ni 0.0000 0.0000 3.4960
Ni 2.1537 2.8503 8.2578
Se 0.0000 2.8503 7.6666
Se 2.1537 0.0000 2.9049
```



No. 2
KTaNi4: theoretical PXRD pattern (Cu Ka), based on a DFT-relaxed cell (PBE, Alexandria).
No peak broadening, texture or thermal motion is included.

Top 12 peaks for 10° ≤ 2θ ≤ 90°, in order of falling intensity:
2θ 42.88, intensity 100
2θ 36.33, intensity 42
2θ 69.87, intensity 30
2θ 44.89, intensity 28
2θ 22.01, intensity 21
2θ 77.13, intensity 21
2θ 25.47, intensity 19
2θ 65.35, intensity 15
2θ 59.06, intensity 9
2θ 88.38, intensity 7
2θ 57.42, intensity 5
2θ 82.79, intensity 4

Atomic structure:
```
6
Lattice="0.0000 3.4976 3.4976 3.4976 0.0000 3.4976 3.4976 3.4976 0.0000" Properties=species:S:1:pos:R:3 pbc="T T T"
K 0.0000 0.0000 0.0000
Ta 1.7488 1.7488 1.7488
Ni 4.3654 2.6297 2.6297
Ni 2.6297 4.3654 2.6297
Ni 2.6297 2.6297 4.3654
Ni 4.3654 4.3654 4.3654
```



No. 3
KNi2W: theoretical PXRD pattern (Cu Ka), based on a DFT-relaxed cell (PBE, Alexandria).
No peak broadening, texture or thermal motion is included.

Top 12 peaks for 10° ≤ 2θ ≤ 90°, in order of falling intensity:
2θ 11.28, intensity 100
2θ 35.44, intensity 28
2θ 42.13, intensity 25
2θ 43.75, intensity 15
2θ 44.09, intensity 13
2θ 22.67, intensity 12
2θ 39.49, intensity 10
2θ 39.37, intensity 10
2θ 54.34, intensity 7
2θ 70.10, intensity 7
2θ 55.39, intensity 5
2θ 47.41, intensity 5

Atomic structure:
```
4
Lattice="2.8113 0.0000 0.0000 0.0000 3.3177 0.0000 -0.0239 0.0000 7.8453" Properties=species:S:1:pos:R:3 pbc="T T T"
K 0.0000 0.0000 0.0000
Ni 1.3932 1.6588 2.6006
Ni 1.3942 1.6588 5.2447
W -0.0120 0.0000 3.9227
```



No. 4
KYNi: theoretical PXRD pattern (Cu Ka), based on a DFT-relaxed cell (PBE, Alexandria).
No peak broadening, texture or thermal motion is included.

Top 12 peaks for 10° ≤ 2θ ≤ 90°, in order of falling intensity:
2θ 11.98, intensity 100
2θ 31.16, intensity 79
2θ 35.96, intensity 53
2θ 39.77, intensity 44
2θ 24.09, intensity 28
2θ 38.04, intensity 24
2θ 50.35, intensity 23
2θ 43.75, intensity 21
2θ 61.67, intensity 20
2θ 51.77, intensity 18
2θ 67.21, intensity 17
2θ 75.12, intensity 13

Atomic structure:
```
12
Lattice="4.9903 0.0000 0.0000 0.0000 4.9984 0.0000 0.0000 0.0000 14.7788" Properties=species:S:1:pos:R:3 pbc="T T T"
K 0.0000 0.0000 0.0000
K 0.0000 2.4992 7.3894
K 2.4951 0.0000 7.3894
K 2.4951 2.4992 0.0000
Y 0.0000 0.0000 11.0903
Y 0.0000 2.4992 3.7009
Y 2.4951 0.0000 3.7009
Y 2.4951 2.4992 11.0903
Ni 0.0000 0.0000 4.9066
Ni 0.0000 2.4992 12.2960
Ni 2.4951 0.0000 12.2960
Ni 2.4951 2.4992 4.9066
```



No. 5
KNp4O12: theoretical PXRD pattern (Cu Ka), based on a DFT-relaxed cell (PBE, Alexandria).
No peak broadening, texture or thermal motion is included.

Top 12 peaks for 10° ≤ 2θ ≤ 90°, in order of falling intensity:
2θ 21.29, intensity 100
2θ 30.29, intensity 75
2θ 48.79, intensity 46
2θ 53.80, intensity 32
2θ 43.36, intensity 24
2θ 67.30, intensity 22
2θ 87.44, intensity 18
2θ 37.32, intensity 17
2θ 62.99, intensity 15
2θ 71.48, intensity 14
2θ 83.52, intensity 10
2θ 75.56, intensity 8

Atomic structure:
```
17
Lattice="-4.1737 4.1737 4.1737 4.1737 -4.1737 4.1737 4.1737 4.1737 -4.1737" Properties=species:S:1:pos:R:3 pbc="T T T"
K 0.0000 0.0000 0.0000
Np 2.0868 2.0868 -2.0868
Np 2.0868 -2.0868 2.0868
Np -2.0868 2.0868 2.0868
Np 2.0868 2.0868 2.0868
O 4.1737 2.1238 -2.1090
O 2.0647 0.0000 2.0498
O 6.2826 0.0000 2.0498
O 2.0498 2.0647 0.0000
O 2.1238 -2.1090 4.1737
O 0.0000 2.0498 2.0647
O 4.1737 2.1238 2.1090
O 2.0498 6.2826 0.0000
O 2.1238 2.1090 4.1737
O -2.1090 4.1737 2.1238
O 2.1090 4.1737 2.1238
O 0.0000 2.0498 6.2826
```



No. 6
K3Np6O20: theoretical PXRD pattern (Cu Ka), based on a DFT-relaxed cell (PBE, Alexandria).
No peak broadening, texture or thermal motion is included.

Top 12 peaks for 10° ≤ 2θ ≤ 90°, in order of falling intensity:
2θ 27.29, intensity 100
2θ 31.62, intensity 49
2θ 53.71, intensity 49
2θ 45.32, intensity 47
2θ 15.66, intensity 32
2θ 22.21, intensity 17
2θ 72.84, intensity 17
2θ 75.06, intensity 15
2θ 83.72, intensity 14
2θ 56.31, intensity 14
2θ 48.24, intensity 10
2θ 41.45, intensity 9

Atomic structure:
```
29
Lattice="0.0000 5.6598 5.6598 5.6598 0.0000 5.6598 5.6598 5.6598 0.0000" Properties=species:S:1:pos:R:3 pbc="T T T"
K 0.0000 0.0000 0.0000
K 2.8299 2.8299 2.8299
K 8.4896 8.4896 8.4896
Np 5.6598 5.6598 3.0072
Np 5.6598 3.0072 5.6598
Np 8.3123 5.6598 5.6598
Np 3.0072 5.6598 5.6598
Np 5.6598 8.3123 5.6598
Np 5.6598 5.6598 8.3123
O 1.8186 1.8186 0.0000
O 3.8411 3.8411 0.0000
O 1.8186 0.0000 1.8186
O 5.6598 3.8411 1.8186
O 3.8411 0.0000 3.8411
O 5.6598 1.8186 3.8411
O 6.9227 4.3968 4.3968
O 0.0000 1.8186 1.8186
O 3.8411 5.6598 1.8186
O 3.8411 1.8186 5.6598
O 4.3968 4.3968 4.3968
O 6.9227 6.9227 4.3968
O 6.9227 4.3968 6.9227
O 4.3968 6.9227 4.3968
O 4.3968 4.3968 6.9227
O 6.9227 6.9227 6.9227
O 0.0000 3.8411 3.8411
O 1.8186 5.6598 3.8411
O 1.8186 3.8411 5.6598
O 4.3968 6.9227 6.9227
```